(1)
For MnRu, DFT lattice parameters and positions (PBE) gives the calculated XRD peak list in this record (Cu Kα X-rays).

Atomic structure:
```
MnRu
1.0
2.6294 0.0000 0.0000
0.0000 2.6294 0.0000
0.0000 0.0000 7.2327
Mn Ru
2 2
direct
0.2500 0.2500 0.1162 Mn
0.7500 0.7500 0.8838 Mn
0.2500 0.2500 0.6408 Ru
0.7500 0.7500 0.3592 Ru
```

Principal peaks in the range 10 to 90 degrees two-theta, most intense first:
2.127 Å, rel. 100
1.859 Å, rel. 34
1.118 Å, rel. 23
1.296 Å, rel. 17
1.808 Å, rel. 14
2.471 Å, rel. 12
7.233 Å, rel. 11
1.315 Å, rel. 10
1.096 Å, rel. 9
2.411 Å, rel. 5


(2)
For Mn4Ru, DFT lattice parameters and positions (PBE) gives the calculated XRD peak list in this record (Cu Kα X-rays).

Atomic structure:
```
Mn4Ru
1.0
4.1245 0.0000 0.0000
-2.0572 3.5932 0.0000
-0.0135 -2.3131 8.5528
Mn Ru
8 2
direct
0.0987 0.1974 0.2975 Mn
0.1995 0.3990 0.5965 Mn
0.2983 0.5969 0.8940 Mn
0.3974 0.7949 0.1947 Mn
0.6026 0.2051 0.8053 Mn
0.7017 0.4031 0.1060 Mn
0.8005 0.6010 0.4035 Mn
0.9013 0.8026 0.7025 Mn
0.0000 0.0000 0.0000 Ru
0.5000 0.0000 0.5000 Ru
```

Principal peaks in the range 10 to 90 degrees two-theta, most intense first:
2.090 Å, rel. 100
2.071 Å, rel. 98
2.079 Å, rel. 49
2.062 Å, rel. 48
1.196 Å, rel. 22
1.465 Å, rel. 15
1.478 Å, rel. 15
1.202 Å, rel. 15
1.463 Å, rel. 15
1.206 Å, rel. 15


(3)
For MnSbRu, DFT lattice parameters and positions (PBE) gives the calculated XRD peak list in this record (Cu Kα X-rays).

Atomic structure:
```
MnSbRu
1.0
5.3104 0.0000 0.0000
0.0000 3.8915 0.0000
-1.5518 0.0000 5.0983
Mn Sb Ru
2 2 2
direct
0.1154 0.2500 0.3601 Mn
0.8846 0.7500 0.6399 Mn
0.2386 0.2500 0.9054 Sb
0.7614 0.7500 0.0946 Sb
0.3833 0.7500 0.6182 Ru
0.6167 0.2500 0.3818 Ru
```

Principal peaks in the range 10 to 90 degrees two-theta, most intense first:
2.132 Å, rel. 100
2.878 Å, rel. 74
2.159 Å, rel. 44
2.127 Å, rel. 42
1.946 Å, rel. 40
3.090 Å, rel. 40
2.137 Å, rel. 33
3.167 Å, rel. 31
2.048 Å, rel. 31
2.456 Å, rel. 22


What is the formula in the second record?
Mn4Ru